For Tl2BiPb5, DFT lattice parameters and positions (GGA-PBE) gives the simulated powder XRD pattern in this record (λ = 1.5418 Å (Cu Kα)).
Peak positions follow from Bragg's law for the DFT cell and can differ from measured ones.

Top 8 peaks for 2θ = 10–90°, by angle:
| two_theta | Rel. int. |
| --- | --- |
| 29.52 | 181 |
| 30.21 | 1000 |
| 33.04 | 626 |
| 38.74 | 111 |
| 42.19 | 128 |
| 51.80 | 123 |
| 61.55 | 215 |
| 64.91 | 118 |

Atomic structure:
```
data_Tl2BiPb5
_cell_length_a 9.241
_cell_length_b 9.241
_cell_length_c 9.241
_cell_angle_alpha 124.70
_cell_angle_beta 124.70
_cell_angle_gamma 82.03
_space_group_name_H-M_alt 'P 1'
_space_group_IT_number 1
_space_group_name_Hall 'P 1'
loop_
_atom_site_label
_atom_site_type_symbol
_atom_site_fract_x
_atom_site_fract_y
_atom_site_fract_z
Tl1 Tl 0.146 0.646 0.792
Tl2 Tl 0.354 0.146 0.500
Tl3 Tl 0.646 0.854 0.500
Tl4 Tl 0.854 0.354 0.208
Bi1 Bi 0.250 0.250 0.000
Bi2 Bi 0.750 0.750 0.000
Pb1 Pb 0.000 0.000 0.000
Pb2 Pb 0.022 0.811 0.500
Pb3 Pb 0.189 0.689 0.211
Pb4 Pb 0.311 0.522 0.500
Pb5 Pb 0.478 0.978 0.789
Pb6 Pb 0.500 0.500 0.000
Pb7 Pb 0.522 0.022 0.211
Pb8 Pb 0.689 0.478 0.500
Pb9 Pb 0.811 0.311 0.789
Pb10 Pb 0.978 0.189 0.500
```